# 1
Structure and simulated X-ray diffraction stick pattern of Ba2ScPd2O6 (the GGA-PBE geometry in Alexandria; Cu Kα, 1.54184 Å).
Peak positions follow from Bragg's law for the DFT cell and can differ from measured ones.

```
data_Ba2ScPd2O6
_chemical_formula_sum 'Ba6 Sc3 Pd6 O18'
_space_group_name_H-M_alt 'R -3 m'
_space_group_IT_number 166
_space_group_name_Hall '-R 3 2"'
_cell_length_a 6.1068
_cell_length_b 6.1068
_cell_length_c 17.1306
_cell_angle_alpha 90.00
_cell_angle_beta 90.00
_cell_angle_gamma 120.00
loop_
_atom_site_label
_atom_site_type_symbol
_atom_site_fract_x
_atom_site_fract_y
_atom_site_fract_z
Ba1 Ba 0.0000 0.0000 0.2172
Sc1 Sc 0.0000 0.0000 0.0000
Pd1 Pd 0.0000 0.0000 0.4124
O1 O 0.0382 0.5191 0.7503
```

Most intense lines, 10° ≤ 2θ ≤ 90°, in order of rising 2θ:
| Position (°2θ) | I (rel.) |
| --- | --- |
| 29.25 | 100 |
| 31.10 | 72 |
| 31.33 | 15 |
| 43.22 | 31 |
| 43.39 | 14 |
| 51.86 | 19 |
| 53.04 | 37 |
| 60.66 | 17 |
| 69.74 | 14 |
| 83.83 | 10 |

# 2
Structure and simulated X-ray diffraction stick pattern of CeTl5Te5 (the GGA-PBE geometry in Alexandria; Cu Kα, 1.54184 Å).
Peak positions follow from Bragg's law for the DFT cell and can differ from measured ones.

```
data_CeTl5Te5
_chemical_formula_sum 'Ce2 Tl10 Te10'
_space_group_name_H-M_alt 'C 1 2/m 1'
_space_group_IT_number 12
_space_group_name_Hall '-C 2y'
_cell_length_a 15.3753
_cell_length_b 6.4355
_cell_length_c 9.6081
_cell_angle_alpha 90.00
_cell_angle_beta 109.36
_cell_angle_gamma 90.00
loop_
_atom_site_label
_atom_site_type_symbol
_atom_site_fract_x
_atom_site_fract_y
_atom_site_fract_z
Ce1 Ce 0.0000 0.0000 0.0000
Tl1 Tl 0.0000 0.0000 0.5000
Tl2 Tl 0.1792 0.5000 0.8478
Tl3 Tl 0.1873 0.5000 0.3155
Te1 Te 0.0000 0.5000 0.0000
Te2 Te 0.1494 0.0000 0.8460
Te3 Te 0.1503 0.0000 0.3083
```

Most intense lines, 10° ≤ 2θ ≤ 90°, in order of rising 2θ:
| Position (°2θ) | I (rel.) |
| --- | --- |
| 23.06 | 47 |
| 25.88 | 93 |
| 26.42 | 100 |
| 27.72 | 94 |
| 37.19 | 32 |
| 37.45 | 35 |
| 38.29 | 68 |
| 38.67 | 73 |
| 47.01 | 33 |
| 47.23 | 37 |

# 3
Structure and simulated X-ray diffraction stick pattern of Tb2Al3Zn4Ag (the GGA-PBE geometry in Alexandria; Cu Kα, 1.54184 Å).
Peak positions follow from Bragg's law for the DFT cell and can differ from measured ones.

```
data_Tb2Al3Zn4Ag
_chemical_formula_sum 'Tb2 Al3 Zn4 Ag1'
_space_group_name_H-M_alt 'P -4 m 2'
_space_group_IT_number 115
_space_group_name_Hall 'P -4 -2'
_cell_length_a 4.2059
_cell_length_b 4.2059
_cell_length_c 10.7787
_cell_angle_alpha 90.00
_cell_angle_beta 90.00
_cell_angle_gamma 90.00
loop_
_atom_site_label
_atom_site_type_symbol
_atom_site_fract_x
_atom_site_fract_y
_atom_site_fract_z
Tb1 Tb 0.0000 0.5000 0.2439
Al1 Al 0.0000 0.5000 0.8661
Al2 Al 0.5000 0.5000 0.5000
Zn1 Zn 0.0000 0.0000 0.0000
Zn2 Zn 0.0000 0.5000 0.6412
Zn3 Zn 0.5000 0.5000 0.0000
Ag1 Ag 0.0000 0.0000 0.5000
```

Most intense lines, 10° ≤ 2θ ≤ 90°, in order of rising 2θ:
| Position (°2θ) | I (rel.) |
| --- | --- |
| 22.69 | 24 |
| 32.78 | 50 |
| 34.44 | 100 |
| 43.01 | 42 |
| 47.39 | 25 |
| 55.11 | 23 |
| 60.18 | 12 |
| 62.45 | 14 |
| 65.90 | 19 |
| 73.31 | 21 |